No. 1
For CsAc4Rh3O12, a cell relaxed with PBE gives the theoretical powder XRD pattern in this record (Cu Kα, 1.54184 Å).
Kinematic intensities with the Lorentz-polarization factor, no thermal factor.

Crystal structure
Cell lengths 7.6786, 7.6786, 7.6786 Å; angles 109.47, 109.47, 109.47 degrees
Positions (direct):
Cs 0.0000 0.0000 0.0000
Ac 0.0000 0.0000 0.5000
Ac 0.0000 0.5000 0.0000
Ac 0.5000 0.0000 0.0000
Ac 0.5000 0.5000 0.5000
Rh 0.0000 0.5000 0.5000
Rh 0.5000 0.0000 0.5000
Rh 0.5000 0.5000 0.0000
O 0.1506 0.3378 0.4884
O 0.1506 0.6622 0.8129
O 0.1871 0.8494 0.3378
O 0.3378 0.1871 0.8494
O 0.3378 0.4884 0.1506
O 0.4884 0.1506 0.3378
O 0.5116 0.8494 0.6622
O 0.6622 0.5116 0.8494
O 0.6622 0.8129 0.1506
O 0.8129 0.1506 0.6622
O 0.8494 0.3378 0.1871
O 0.8494 0.6622 0.5116

The 8 most intense peaks (2θ = 10–90°), in order of rising 2θ:
2θ (°), d/Å, Rel. int.
20.03, 4.433, 11.5
28.47, 3.135, 100.0
40.70, 2.217, 19.9
45.77, 1.983, 8.2
50.42, 1.810, 47.5
58.92, 1.567, 13.1
66.72, 1.402, 19.7
81.18, 1.185, 21.8

No. 2
For Cs3Ac3RhO8, a cell relaxed with PBE gives the theoretical powder XRD pattern in this record (Cu Kα, 1.54184 Å).
Kinematic intensities with the Lorentz-polarization factor, no thermal factor.

Crystal structure
Cell lengths 8.1928, 8.1928, 8.1928 Å; angles 54.01, 54.01, 54.01 degrees
Positions (direct):
Cs 0.0000 0.5000 0.5000
Cs 0.5000 0.0000 0.5000
Cs 0.5000 0.5000 0.0000
Ac 0.0000 0.0000 0.5000
Ac 0.0000 0.5000 0.0000
Ac 0.5000 0.0000 0.0000
Rh 0.5000 0.5000 0.5000
O 0.2253 0.2253 0.2253
O 0.2633 0.6967 0.6967
O 0.3033 0.3033 0.7367
O 0.3033 0.7367 0.3033
O 0.6967 0.2633 0.6967
O 0.6967 0.6967 0.2633
O 0.7367 0.3033 0.3033
O 0.7747 0.7747 0.7747

The 8 most intense peaks (2θ = 10–90°), in order of rising 2θ:
2θ (°), d/Å, Rel. int.
12.69, 6.976, 39.6
25.54, 3.488, 47.7
29.00, 3.079, 92.7
32.64, 2.743, 100.0
44.62, 2.031, 36.7
48.97, 1.860, 32.4
52.11, 1.755, 24.1
56.03, 1.641, 34.5